(1)
Li2Cd3Pd: theoretical XRD peak list (Cu Kα (weighted mean of Kα1 and Kα2)), based on a DFT-relaxed cell (GGA-PBE, Alexandria).
Peak positions follow from Bragg's law for the DFT cell and can differ from measured ones.

Cell and atoms:
```
12
Lattice="4.5676 0.0000 0.0000 0.0000 6.8067 0.0000 -2.2323 0.0000 6.8719" Properties=species:S:1:pos:R:3 pbc="T T T"
Li 0.0000 0.0000 0.0000
Li 0.0000 3.4034 0.0000
Li 0.0350 0.0000 4.6270
Li 2.3002 0.0000 2.2448
Cd 0.0158 1.7154 2.3248
Cd 0.0158 5.0914 2.3248
Cd 2.2838 1.6883 0.0000
Cd 2.2838 5.1185 0.0000
Cd 2.3194 1.7154 4.5471
Cd 2.3194 5.0914 4.5471
Pd 0.0361 3.4034 4.6484
Pd 2.2991 3.4034 2.2235
```

The 10 most intense peaks (2θ = 10–90°), sorted by position:
two_theta	I/Imax
13.0	36
26.2	33
27.5	29
27.7	29
38.3	100
38.5	99
39.3	46
39.5	46
53.9	18
68.8	33

---

(2)
Li3Cd2Pd3: theoretical XRD peak list (Cu Kα (weighted mean of Kα1 and Kα2)), based on a DFT-relaxed cell (GGA-PBE, Alexandria).
Peak positions follow from Bragg's law for the DFT cell and can differ from measured ones.

Cell and atoms:
```
8
Lattice="2.2450 1.2962 7.4020 -2.2450 1.2962 7.4020 0.0000 -2.5923 7.4020" Properties=species:S:1:pos:R:3 pbc="T T T"
Li 0.0000 0.0000 0.0000
Li 0.0000 0.0000 2.8357
Li 0.0000 0.0000 13.7742
Cd 0.0000 0.0000 8.2881
Cd 0.0000 0.0000 19.4315
Pd 0.0000 0.0000 5.5400
Pd 0.0000 0.0000 11.0409
Pd 0.0000 0.0000 16.6575
```

The 10 most intense peaks (2θ = 10–90°), sorted by position:
two_theta	I/Imax
12.0	21
24.0	21
24.3	70
39.9	100
40.2	99
47.4	20
57.9	33
72.3	16
72.8	32
73.0	16

---

(3)
Li2Cd2Pd5: theoretical XRD peak list (Cu Kα (weighted mean of Kα1 and Kα2)), based on a DFT-relaxed cell (GGA-PBE, Alexandria).
Peak positions follow from Bragg's law for the DFT cell and can differ from measured ones.

Cell and atoms:
```
18
Lattice="-2.8993 7.1373 3.4753 2.8993 -7.1373 3.4753 2.8993 7.1373 -3.4753" Properties=species:S:1:pos:R:3 pbc="T T T"
Li 0.0000 1.0176 0.2997
Li 0.0000 6.1197 0.2997
Li 2.8993 1.0176 3.1757
Li 2.8993 6.1197 3.1757
Cd 2.8993 0.0000 0.0000
Cd 2.8993 3.5686 -0.2962
Cd 0.0000 0.0000 3.4753
Cd 0.0000 3.5686 3.7715
Pd 1.4497 5.6046 -1.7377
Pd 1.4497 -1.5327 1.7377
Pd 2.8993 -3.5686 3.1645
Pd 1.4497 9.3279 -1.7377
Pd 1.4497 2.1906 1.7377
Pd -1.4497 4.9466 1.7377
Pd 1.4497 4.9466 1.7377
Pd 0.0000 10.7059 0.3108
Pd -1.4497 8.6700 1.7377
Pd 1.4497 8.6700 1.7377
```

The 10 most intense peaks (2θ = 10–90°), sorted by position:
two_theta	I/Imax
12.4	26
36.1	100
38.6	16
40.1	82
40.5	92
46.4	15
52.7	16
67.2	15
68.2	22
76.0	22

---

(4)
LiCd8Pd2: theoretical XRD peak list (Cu Kα (weighted mean of Kα1 and Kα2)), based on a DFT-relaxed cell (GGA-PBE, Alexandria).
Peak positions follow from Bragg's law for the DFT cell and can differ from measured ones.

Cell and atoms:
```
11
Lattice="4.2973 -5.6460 0.0000 4.2973 5.6460 0.0000 0.0000 0.0000 4.6072" Properties=species:S:1:pos:R:3 pbc="T T T"
Li 0.0000 0.0000 0.0000
Cd 1.4813 1.4989 2.3036
Cd 4.2973 2.8535 0.0000
Cd 1.4813 -1.4989 2.3036
Cd 2.8507 0.0000 0.0000
Cd 5.7438 0.0000 0.0000
Cd 7.1133 1.4989 2.3036
Cd 4.2973 -2.8535 0.0000
Cd 7.1133 -1.4989 2.3036
Pd 4.2973 1.4030 2.3036
Pd 4.2973 -1.4030 2.3036
```

The 10 most intense peaks (2θ = 10–90°), sorted by position:
two_theta	I/Imax
26.1	20
32.6	31
37.4	100
37.8	74
39.1	45
39.5	36
51.5	16
56.8	24
70.0	25
77.6	22

---

(5)
LiCd4Pd3: theoretical XRD peak list (Cu Kα (weighted mean of Kα1 and Kα2)), based on a DFT-relaxed cell (GGA-PBE, Alexandria).
Peak positions follow from Bragg's law for the DFT cell and can differ from measured ones.

Cell and atoms:
```
16
Lattice="14.3535 0.0000 0.0000 0.0000 4.5419 0.0000 -1.4320 0.0000 4.3103" Properties=species:S:1:pos:R:3 pbc="T T T"
Li 0.0000 0.0000 0.0000
Li 7.1768 2.2709 0.0000
Cd 0.8982 0.0000 2.6936
Cd 1.6140 2.2709 0.5391
Cd 4.1308 0.0000 3.7712
Cd 4.8466 2.2709 1.6167
Cd 8.7907 0.0000 0.5391
Cd 8.0749 2.2709 2.6936
Cd 12.0233 0.0000 1.6167
Cd 11.3075 2.2709 3.7712
Pd -0.7160 2.2709 2.1552
Pd 2.5041 2.2709 3.2309
Pd 3.2406 0.0000 1.0794
Pd 6.4608 0.0000 2.1552
Pd 9.6809 0.0000 3.2309
Pd 10.4174 2.2709 1.0794
```

The 10 most intense peaks (2θ = 10–90°), sorted by position:
two_theta	I/Imax
13.0	6
20.6	9
27.8	7
38.5	100
39.7	45
53.8	9
57.4	15
68.9	17
71.3	31
82.6	10

---

(6)
Li2Cd3Pd8: theoretical XRD peak list (Cu Kα (weighted mean of Kα1 and Kα2)), based on a DFT-relaxed cell (GGA-PBE, Alexandria).
Peak positions follow from Bragg's law for the DFT cell and can differ from measured ones.

Cell and atoms:
```
13
Lattice="2.6511 1.5306 9.3812 -2.6511 1.5306 9.3812 0.0000 -3.0612 9.3812" Properties=species:S:1:pos:R:3 pbc="T T T"
Li 0.0000 0.0000 4.0170
Li 0.0000 0.0000 24.1266
Cd 0.0000 0.0000 8.9970
Cd 0.0000 0.0000 14.0718
Cd 0.0000 0.0000 19.1465
Pd 0.0000 0.0000 6.3481
Pd 0.0000 -1.5282 11.4055
Pd -1.3235 0.7641 11.4055
Pd -1.3235 -0.7641 16.7381
Pd 1.3235 0.7641 11.4055
Pd 1.3235 -0.7641 16.7381
Pd 0.0000 1.5282 16.7381
Pd 0.0000 0.0000 21.7954
```

The 10 most intense peaks (2θ = 10–90°), sorted by position:
two_theta	I/Imax
18.9	48
29.5	42
33.8	25
39.0	40
39.8	100
40.4	64
41.4	85
44.8	28
64.9	30
71.1	33

---

(7)
Li2Cd3Pd2: theoretical XRD peak list (Cu Kα (weighted mean of Kα1 and Kα2)), based on a DFT-relaxed cell (GGA-PBE, Alexandria).
Peak positions follow from Bragg's law for the DFT cell and can differ from measured ones.

Cell and atoms:
```
14
Lattice="7.0903 0.0000 0.0000 0.0000 8.6159 0.0000 -0.0139 0.0000 4.2779" Properties=species:S:1:pos:R:3 pbc="T T T"
Li 1.7726 2.1540 0.0000
Li 1.7726 6.4619 0.0000
Li 5.3177 2.1540 0.0000
Li 5.3177 6.4619 0.0000
Cd 0.0000 0.0000 0.0000
Cd 1.4010 4.3079 2.1342
Cd 2.1303 0.0000 2.1437
Cd 3.5451 4.3079 0.0000
Cd 4.9461 0.0000 2.1342
Cd 5.6754 4.3079 2.1437
Pd -0.0069 1.8589 2.1389
Pd -0.0069 6.7570 2.1389
Pd 3.5382 2.4490 2.1389
Pd 3.5382 6.1668 2.1389
```

The 10 most intense peaks (2θ = 10–90°), sorted by position:
two_theta	I/Imax
16.2	14
20.8	52
26.4	22
32.7	22
39.1	100
39.5	23
39.9	37
41.9	20
42.3	25
61.1	12

---

(8)
Li3Cd6Pd2: theoretical XRD peak list (Cu Kα (weighted mean of Kα1 and Kα2)), based on a DFT-relaxed cell (GGA-PBE, Alexandria).
Peak positions follow from Bragg's law for the DFT cell and can differ from measured ones.

Cell and atoms:
```
11
Lattice="4.0228 0.0000 0.0000 -2.0086 4.8320 0.0000 -0.0305 -2.7412 10.2941" Properties=species:S:1:pos:R:3 pbc="T T T"
Li 0.0000 0.0000 0.0000
Li -0.0193 -0.7550 6.5826
Li 2.0031 2.8458 3.7115
Cd -0.0188 0.2411 9.2704
Cd -0.0128 2.0421 5.5845
Cd -0.0024 3.8495 1.9607
Cd 1.9862 -1.7587 8.3334
Cd 1.9965 0.0487 4.7096
Cd 2.0026 1.8497 1.0237
Pd -0.0078 0.9419 2.8459
Pd 1.9915 1.1489 7.4483
```

The 10 most intense peaks (2θ = 10–90°), sorted by position:
two_theta	I/Imax
22.2	17
24.1	35
26.0	16
37.1	100
37.5	99
41.8	36
43.2	31
45.1	29
63.2	20
73.0	13